This entry pairs a crystal structure of Ac3Mn2CuO9 with its simulated powder diffractogram. Radiation: Cu Kα. Structure: a PBE+U-relaxed structure.
No peak broadening, texture or thermal motion is included.

Largest 10 diffraction maxima, sorted by position, 10 to 80 degrees two-theta:
22.4 deg, rel. 33, (1 0 1)
31.8 deg, rel. 100, (1 1 0)
39.2 deg, rel. 24, (0 2 1)
45.6 deg, rel. 28, (2 0 2)
51.4 deg, rel. 17, (2 1 1)
56.7 deg, rel. 40, (3 0 0)
66.5 deg, rel. 17, (2 2 0)
71.1 deg, rel. 9, (1 3 1)
75.6 deg, rel. 17, (3 1 2)
80.0 deg, rel. 2, (2 0 5)

Crystal structure
a b c (Å): 5.622 5.622 6.893
angles (deg): 90.00 90.00 120.00
Sites, in units of the cell vectors:
Ac (0.000, 0.000, 0.000)
Ac (0.333, 0.667, 0.660)
Ac (0.667, 0.333, 0.340)
Mn (0.333, 0.667, 0.167)
Mn (0.667, 0.333, 0.833)
Cu (0.000, 0.000, 0.500)
O (0.000, 0.500, 0.000)
O (0.171, 0.341, 0.328)
O (0.171, 0.829, 0.328)
O (0.341, 0.171, 0.672)
O (0.500, 0.000, 0.000)
O (0.500, 0.500, 0.000)
O (0.659, 0.829, 0.328)
O (0.829, 0.171, 0.672)
O (0.829, 0.659, 0.672)